This entry pairs a crystal structure of SrCuO2 with its theoretical PXRD pattern. Radiation: CuKα. Structure: DFT lattice parameters and positions (PBE).
Lines closer than 0.1° are merged.

Structural model:
Lattice parameters (Å, degrees): 3.302 3.724 6.418 90.00 90.00 90.00
Space group Pmmm (No. 47)
Inequivalent atoms, fractional coordinates:
Sr (0.000, 0.000, 0.000) [1 per cell]
Cu (0.000, 0.500, 0.500) [1 per cell]
O (0.000, 0.500, 0.228) [2 per cell]

Peak list (8 most intense, 10° ≤ 2θ ≤ 90°, in order of falling intensity)
Position (°2θ), Rel. int., h k l
39.08, 100, 1 1 1
27.69, 94, 0 1 1
27.00, 80, 1 0 0
27.80, 31, 0 0 2
56.94, 29, 1 1 3
63.31, 24, 2 1 1
49.11, 23, 0 1 3
56.76, 18, 1 2 0


This entry pairs a crystal structure of CsAlCl4 with its theoretical PXRD pattern. Radiation: CuKα. Structure: DFT lattice parameters and positions (PBE).
Lines closer than 0.1° are merged.

Structural model:
Lattice parameters (Å, degrees): 11.947 7.312 9.678 90.00 90.00 90.00
Space group Pnma (No. 62)
Inequivalent atoms, fractional coordinates:
Cs (0.180, 0.250, 0.165) [4 per cell]
Al (0.072, 0.250, 0.694) [4 per cell]
Cl (0.085, 0.011, 0.826) [8 per cell]
Cl (0.088, 0.750, 0.408) [4 per cell]
Cl (0.210, 0.250, 0.551) [4 per cell]

Peak list (8 most intense, 10° ≤ 2θ ≤ 90°, in order of falling intensity)
Position (°2θ), Rel. int., h k l
31.57, 100, 1 2 2
19.19, 58, 2 1 0
21.29, 58, 2 1 1
30.11, 56, 2 2 1
23.27, 55, 1 1 2
31.22, 49, 1 1 3
28.64, 40, 2 2 0
31.34, 37, 4 0 1


This entry pairs a crystal structure of Pu4Ir with its theoretical PXRD pattern. Radiation: CuKα. Structure: DFT lattice parameters and positions (PBE).
Lines closer than 0.1° are merged.

Structural model:
Lattice parameters (Å, degrees): 10.509 10.509 10.509 90.00 90.00 90.00
Space group Fd-3m (No. 227, origin choice 2)
Inequivalent atoms, fractional coordinates:
Pu (0.018, 0.018, 0.232) [32 per cell]
Ir (0.125, 0.125, 0.625) [8 per cell]

Peak list (8 most intense, 10° ≤ 2θ ≤ 90°, in order of falling intensity)
Position (°2θ), Rel. int., h k l
29.44, 100, 2 2 2
49.03, 45, 4 4 0
44.81, 33, 5 1 1
58.23, 30, 6 2 2
37.30, 30, 3 3 1
34.13, 29, 4 0 0
23.95, 19, 2 2 0
73.80, 14, 7 3 3


What did the first record say?
This entry pairs a crystal structure of SrCuO2 with its theoretical PXRD pattern. Radiation: CuKα. Structure: DFT lattice parameters and positions (PBE).
Lines closer than 0.1° are merged.

Structural model:
Lattice parameters (Å, degrees): 3.302 3.724 6.418 90.00 90.00 90.00
Space group Pmmm (No. 47)
Inequivalent atoms, fractional coordinates:
Sr (0.000, 0.000, 0.000) [1 per cell]
Cu (0.000, 0.500, 0.500) [1 per cell]
O (0.000, 0.500, 0.228) [2 per cell]

Peak list (8 most intense, 10° ≤ 2θ ≤ 90°, in order of falling intensity)
Position (°2θ), Rel. int., h k l
39.08, 100, 1 1 1
27.69, 94, 0 1 1
27.00, 80, 1 0 0
27.80, 31, 0 0 2
56.94, 29, 1 1 3
63.31, 24, 2 1 1
49.11, 23, 0 1 3
56.76, 18, 1 2 0